Starting from a cell relaxed with GGA-PBE, the powder X-ray diffraction pattern of Zn3P2 was computed for Cu Kα (weighted mean of Kα1 and Kα2).
No peak broadening, texture or thermal motion is included.

Crystal structure
Cell: 5.7163 5.7163 5.7163 Å, 90.00 90.00 90.00°
Space group Pn-3m (No. 224, origin choice 2)
Unique sites:
Zn1 0.2500 0.2500 0.7500 x6
P1 0.0000 0.0000 0.0000 x4

Most intense lines, 2θ from 10° to 90°, in order of rising 2θ:
- 22.0°, I 46
- 27.0°, I 14
- 31.3°, I 43
- 38.6°, I 21
- 44.8°, I 100
- 55.7°, I 11
- 60.6°, I 11
- 65.3°, I 15
- 74.2°, I 13
- 82.7°, I 31